1.
This entry pairs a crystal structure of TlHgPd with its calculated PXRD pattern. Radiation: Cu Kα, 1.54184 Å. Structure: a PBE-relaxed structure.
Lines closer than 0.1° are merged.

Main lines, low angle first (2θ = 15–90°):
- 2θ 31.40, intensity 27, (2 0 -2)
- 2θ 33.12, intensity 100, (1 1 1)
- 2θ 33.28, intensity 48, (2 2 -1)
- 2θ 33.51, intensity 50, (3 1 -1)
- 2θ 36.78, intensity 19, (3 1 -2)
- 2θ 41.18, intensity 29, (2 2 -2)
- 2θ 41.64, intensity 42, (1 3 0)
- 2θ 41.94, intensity 28, (3 1 0)
- 2θ 56.82, intensity 22, (2 2 -3)
- 2θ 57.20, intensity 21, (4 2 -3)
- 2θ 66.37, intensity 19, (1 3 2)
- 2θ 67.02, intensity 19, (5 3 -2)

Structural model:
abc: 8.8155 6.8645 5.6992
angles: 90.00 129.46 90.00
Space group Cc (No. 9)
Symmetry-distinct sites (fractional):
Tl (0.0000, 0.1638, 0.0000) x4
Hg (0.1716, 0.3313, 0.6697) x4
Pd (0.3409, 0.0000, 0.0899) x4

2.
This entry pairs a crystal structure of Tl4In2SnHg with its calculated PXRD pattern. Radiation: Cu Kα, 1.54184 Å. Structure: a PBE-relaxed structure.
Lines closer than 0.1° are merged.

Main lines, low angle first (2θ = 15–90°):
- 2θ 20.29, intensity 21, (1 0 1)
- 2θ 24.47, intensity 22, (1 0 2)
- 2θ 27.73, intensity 24, (1 1 1)
- 2θ 30.98, intensity 100, (1 1 2)
- 2θ 35.80, intensity 77, (1 1 3)
- 2θ 36.96, intensity 24, (1 0 4)
- 2θ 37.93, intensity 65, (2 0 0)
- 2θ 54.72, intensity 23, (2 2 0)
- 2θ 56.13, intensity 23, (2 0 5)
- 2θ 64.22, intensity 26, (3 1 2)
- 2θ 67.13, intensity 25, (3 1 3)
- 2θ 72.44, intensity 20, (1 1 8)

Structural model:
abc: 4.7443 4.7443 11.3299
angles: 90.00 90.00 90.00
Space group P4/mmm (No. 123)
Symmetry-distinct sites (fractional):
Tl (0.0000, 0.5000, 0.1900) x4
In (0.0000, 0.0000, 0.3761) x2
Sn (0.5000, 0.5000, 0.5000) x1
Hg (0.5000, 0.5000, 0.0000) x1

3.
This entry pairs a crystal structure of Ce2GaAs4 with its calculated PXRD pattern. Radiation: Cu Kα, 1.54184 Å. Structure: a PBE-relaxed structure.
Lines closer than 0.1° are merged.

Main lines, low angle first (2θ = 15–90°):
- 2θ 23.83, intensity 25, (1 0 1)
- 2θ 28.52, intensity 29, (1 0 2)
- 2θ 35.07, intensity 29, (1 0 3)
- 2θ 36.15, intensity 11, (0 0 4)
- 2θ 36.34, intensity 100, (1 1 2)
- 2θ 42.76, intensity 13, (1 0 4)
- 2θ 44.99, intensity 38, (2 0 0)
- 2θ 51.25, intensity 17, (1 0 5)
- 2θ 58.28, intensity 13, (2 1 3)
- 2θ 65.51, intensity 12, (2 2 0)
- 2θ 70.54, intensity 13, (2 1 5)
- 2θ 77.29, intensity 22, (3 1 2)

Structural model:
abc: 4.0301 4.0301 9.9378
angles: 90.00 90.00 90.00
Space group P-4m2 (No. 115)
Symmetry-distinct sites (fractional):
Ce (0.0000, 0.5000, 0.2306) x2
Ga (0.0000, 0.0000, 0.5000) x1
As (0.0000, 0.0000, 0.0000) x1
As (0.0000, 0.5000, 0.6596) x2
As (0.5000, 0.5000, 0.0000) x1

4.
This entry pairs a crystal structure of Cs4Ce3RhS8 with its calculated PXRD pattern. Radiation: Cu Kα, 1.54184 Å. Structure: a PBE-relaxed structure.
Lines closer than 0.1° are merged.

Main lines, low angle first (2θ = 15–90°):
- 2θ 22.06, intensity 50, (0 0 2)
- 2θ 25.61, intensity 29, (4 0 -2)
- 2θ 26.10, intensity 53, (2 2 0)
- 2θ 28.11, intensity 59, (4 0 0)
- 2θ 29.39, intensity 100, (2 2 -2)
- 2θ 38.89, intensity 39, (2 2 2)
- 2θ 39.20, intensity 18, (4 0 -4)
- 2θ 43.25, intensity 36, (6 2 -2)
- 2θ 44.75, intensity 16, (0 4 0)
- 2θ 45.73, intensity 20, (2 2 -4)
- 2θ 49.61, intensity 13, (6 2 -4)
- 2θ 53.68, intensity 18, (4 4 0)

Structural model:
abc: 14.6627 8.1003 9.3040
angles: 90.00 119.99 90.00
Space group C2/m (No. 12)
Symmetry-distinct sites (fractional):
Cs (0.0000, 0.0000, 0.0000) x2
Cs (0.0000, 0.5000, 0.0000) x2
Cs (0.2500, 0.2500, 0.0000) x4
Ce (0.0000, 0.0000, 0.5000) x2
Ce (0.2500, 0.2500, 0.5000) x4
Rh (0.0000, 0.5000, 0.5000) x2
S (0.0242, 0.2762, 0.3368) x8
S (0.2247, 0.0000, 0.6870) x4
S (0.2464, 0.0000, 0.2978) x4